Simulated X-ray powder pattern of CeDy14In for Cu Kα, 1.54184 Å, from a crystal structure in Alexandria, relaxed with GGA-PBE.
Lines closer than 0.1° are merged.

Atomic structure:
Lattice parameters (Å, degrees): 7.0164 7.0164 9.9764 90.00 90.00 90.00
Space group P4/mmm (No. 123)
Inequivalent atoms, fractional coordinates:
Ce  0.0000  0.0000  0.0000 x1
Dy  0.0000  0.0000  0.5000 x1
Dy  0.0000  0.5000  0.0000 x2
Dy  0.0000  0.5000  0.5000 x2
Dy  0.2489  0.2489  0.2471 x8
Dy  0.5000  0.5000  0.5000 x1
In  0.5000  0.5000  0.0000 x1

Top 6 peaks for 10 to 80 degrees two-theta, sorted by position:
2theta, Rel. int.
31.2, 100
36.0, 17
36.2, 34
52.0, 24
61.7, 14
62.0, 28